1.
For Li9Mn2Co5O16, a GGA+U-relaxed structure gives the theoretical powder XRD pattern in this record (Cu Kα (λ = 1.5418 Å)).
Kinematic intensities with the Lorentz-polarization factor, no thermal factor.

Peak list (10 most intense, 15° ≤ 2θ ≤ 90°, in order of rising 2θ)
2θ 18.26, d 4.858, rel. 100.0, (0 1 -1)
2θ 34.33, d 2.612, rel. 18.7, (1 0 3)
2θ 35.77, d 2.510, rel. 13.5, (-1 1 4)
2θ 36.78, d 2.444, rel. 10.3, (0 0 8)
2θ 41.17, d 2.193, rel. 33.9, (1 1 2)
2θ 43.46, d 2.082, rel. 28.1, (-1 2 3)
2θ 44.96, d 2.016, rel. 24.3, (0 1 -9)
2θ 61.26, d 1.513, rel. 8.6, (-2 1 1)
2θ 61.56, d 1.506, rel. 8.3, (0 3 5)
2θ 64.75, d 1.440, rel. 8.5, (-1 1 12)

Structural model:
Unit cell a=3.0302 b=5.1376 c=19.5883 alpha=91.17 beta=93.07 gamma=104.54
Space group P-1 (No. 2)
Symmetry-distinct sites (fractional):
Li  0.0000  0.0000  0.0000 x1
Li  0.0687  0.3100  0.8136 x2
Li  0.1802  0.9343  0.4377 x2
Li  0.3137  0.5695  0.0631 x2
Li  0.4353  0.1862  0.6885 x2
Mn  0.1225  0.6255  0.6262 x2
Co  0.2440  0.2508  0.2469 x2
Co  0.3809  0.8801  0.8808 x2
Co  0.5000  0.5000  0.5000 x1
O  0.0441  0.1298  0.9040 x2
O  0.1110  0.4858  0.7179 x2
O  0.1312  0.7617  0.5337 x2
O  0.1914  0.1077  0.3387 x2
O  0.3039  0.3836  0.1576 x2
O  0.3400  0.7245  0.9588 x2
O  0.3903  0.0062  0.7879 x2
O  0.4352  0.3565  0.5906 x2

2.
For LiFeP3O9, a GGA+U-relaxed structure gives the theoretical powder XRD pattern in this record (Cu Kα (λ = 1.5418 Å)).
Kinematic intensities with the Lorentz-polarization factor, no thermal factor.

Peak list (10 most intense, 15° ≤ 2θ ≤ 90°, in order of rising 2θ)
2θ 17.13, d 5.176, rel. 100.0, (1 1 1)
2θ 17.44, d 5.086, rel. 53.5, (1 0 2)
2θ 19.39, d 4.577, rel. 12.0, (2 0 0)
2θ 23.89, d 3.725, rel. 11.0, (1 0 3)
2θ 24.07, d 3.698, rel. 50.2, (2 1 1)
2θ 27.22, d 3.276, rel. 17.0, (2 1 2)
2θ 30.11, d 2.968, rel. 50.1, (1 2 2)
2θ 31.32, d 2.856, rel. 17.2, (2 2 0)
2θ 34.66, d 2.588, rel. 19.9, (2 2 2)
2θ 41.84, d 2.159, rel. 13.2, (2 0 5)

Structural model:
Unit cell a=9.1536 b=7.3115 c=12.2350 alpha=90.00 beta=90.00 gamma=90.00
Space group Pnma (No. 62)
Symmetry-distinct sites (fractional):
Li  0.0474  0.2500  0.0024 x4
Fe  0.0285  0.7500  0.7828 x4
P  0.1912  0.2500  0.4574 x4
P  0.2479  0.5452  0.1488 x8
O  0.0858  0.2500  0.3664 x4
O  0.1115  0.0598  0.1172 x8
O  0.1457  0.7500  0.9364 x4
O  0.1545  0.5269  0.7361 x8
O  0.1562  0.0800  0.5393 x8
O  0.1948  0.7500  0.1816 x4

3.
For NdMnFeBiO6, a GGA+U-relaxed structure gives the theoretical powder XRD pattern in this record (Cu Kα (λ = 1.5418 Å)).
Kinematic intensities with the Lorentz-polarization factor, no thermal factor.

Peak list (10 most intense, 15° ≤ 2θ ≤ 90°, in order of rising 2θ)
2θ 22.47, d 3.956, rel. 30.5, (0 0 2)
2θ 22.62, d 3.930, rel. 47.7, (1 1 0)
2θ 31.70, d 2.823, rel. 39.5, (0 2 0)
2θ 31.94, d 2.802, rel. 100.0, (1 1 -2)
2θ 32.26, d 2.775, rel. 98.9, (1 1 2)
2θ 32.72, d 2.737, rel. 46.9, (2 0 0)
2θ 45.87, d 1.978, rel. 27.7, (0 0 4)
2θ 46.19, d 1.965, rel. 41.1, (2 2 0)
2θ 56.83, d 1.620, rel. 28.5, (0 2 4)
2θ 58.30, d 1.583, rel. 25.5, (3 1 2)

Structural model:
Unit cell a=5.4752 b=5.6459 c=7.9135 alpha=90.00 beta=90.76 gamma=90.00
Space group P2_1 (No. 4)
Symmetry-distinct sites (fractional):
Nd  0.2359  0.0000  0.4986 x2
Mn  0.2495  0.5507  0.7482 x2
Fe  0.2461  0.5506  0.2486 x2
Bi  0.2663  0.1052  0.9988 x2
O  0.0298  0.2578  0.3012 x2
O  0.0541  0.2737  0.6919 x2
O  0.1531  0.5177  0.9850 x2
O  0.3432  0.5817  0.5126 x2
O  0.4499  0.8274  0.8038 x2
O  0.4620  0.8487  0.2053 x2

4.
For Cs4Mn3O6, a GGA+U-relaxed structure gives the theoretical powder XRD pattern in this record (Cu Kα (λ = 1.5418 Å)).
Kinematic intensities with the Lorentz-polarization factor, no thermal factor.

Peak list (10 most intense, 15° ≤ 2θ ≤ 90°, in order of rising 2θ)
2θ 22.23, d 3.998, rel. 23.3, (1 2 0)
2θ 25.19, d 3.536, rel. 72.0, (2 2 -1)
2θ 27.40, d 3.255, rel. 50.8, (2 0 2)
2θ 28.51, d 3.130, rel. 100.0, (4 0 -2)
2θ 30.29, d 2.951, rel. 13.2, (2 2 -3)
2θ 31.92, d 2.804, rel. 51.4, (3 2 0)
2θ 42.55, d 2.124, rel. 20.6, (4 2 1)
2θ 44.07, d 2.055, rel. 14.0, (4 2 -5)
2θ 44.53, d 2.035, rel. 16.8, (1 4 1)
2θ 57.62, d 1.600, rel. 13.4, (5 4 -1)

Structural model:
Unit cell a=12.5211 b=8.5691 c=12.5462 alpha=90.00 beta=117.43 gamma=90.00
Space group P2 (No. 3)
Symmetry-distinct sites (fractional):
Cs  0.1566  0.0000  0.3345 x2
Cs  0.1619  0.6279  0.8232 x2
Cs  0.1755  0.1367  0.8356 x2
Cs  0.1772  0.4871  0.3332 x2
Cs  0.3253  0.3818  0.6743 x2
Cs  0.3333  0.2785  0.1775 x2
Cs  0.3333  0.7613  0.1591 x2
Cs  0.3415  0.8821  0.6578 x2
Mn  0.0000  0.0477  0.0000 x1
Mn  0.0000  0.1969  0.5000 x1
Mn  0.0000  0.3802  0.0000 x1
Mn  0.0000  0.5302  0.5000 x1
Mn  0.0000  0.7151  0.0000 x1
Mn  0.0000  0.8609  0.5000 x1
Mn  0.5000  0.0508  0.5000 x1
Mn  0.5000  0.2334  0.0000 x1
Mn  0.5000  0.3824  0.5000 x1
Mn  0.5000  0.5669  0.0000 x1
Mn  0.5000  0.7139  0.5000 x1
Mn  0.5000  0.9028  0.0000 x1
O  0.0359  0.8945  0.9099 x2
O  0.0548  0.3511  0.6255 x2
O  0.0685  0.2149  0.1181 x2
O  0.1090  0.0299  0.5894 x2
O  0.1112  0.7077  0.4985 x2
O  0.1241  0.5340  0.0745 x2
O  0.3745  0.4130  0.9452 x2
O  0.3785  0.2047  0.4740 x2
O  0.4001  0.8818  0.3991 x2
O  0.4104  0.7341  0.8909 x2
O  0.4735  0.5603  0.3780 x2
O  0.4970  0.0556  0.1105 x2